[1]
Starting from a cell relaxed with PBE+U, the XRD peak list of NaNdMgWO6 was calculated for λ = 1.5418 Å (Cu Kα).
Neutral-atom scattering factors, no anomalous dispersion.

Crystal structure
a = 5.542 Å, b = 5.589 Å, c = 7.949 Å
α = 90.00°, β = 90.07°, γ = 90.00°
Fractional positions:
Na: 0.247 0.000 0.499
Na: 0.753 0.500 0.501
Nd: 0.258 0.944 0.999
Nd: 0.742 0.444 0.001
Mg: 0.249 0.482 0.257
Mg: 0.751 0.982 0.743
W: 0.246 0.486 0.737
W: 0.754 0.986 0.263
O: 0.029 0.785 0.276
O: 0.059 0.774 0.720
O: 0.166 0.506 0.994
O: 0.329 0.465 0.511
O: 0.464 0.219 0.806
O: 0.477 0.198 0.194
O: 0.523 0.698 0.806
O: 0.536 0.719 0.194
O: 0.671 0.965 0.489
O: 0.834 0.006 0.006
O: 0.941 0.274 0.280
O: 0.971 0.285 0.724

Peak list (10 most intense, 5 to 70 degrees two-theta, by intensity)
2θ/deg  I/Imax
32.0  100
19.5  31
19.4  30
11.1  25
25.3  24
57.1  23
46.1  23
32.3  19
57.4  19
66.9  15

=====

[2]
Starting from a cell relaxed with PBE+U, the XRD peak list of Sr3NdFe2O8 was calculated for λ = 1.5418 Å (Cu Kα).
Neutral-atom scattering factors, no anomalous dispersion.

Crystal structure
a = 5.493 Å, b = 6.916 Å, c = 6.916 Å
α = 46.66°, β = 90.00°, γ = 90.00°
Fractional positions:
Sr: 0.000 0.000 0.000
Sr: 0.000 0.290 0.290
Sr: 0.500 0.791 0.791
Nd: 0.500 0.505 0.505
Fe: 0.000 0.648 0.648
Fe: 0.500 0.144 0.144
O: 0.000 0.485 0.485
O: 0.000 0.804 0.804
O: 0.258 0.393 0.891
O: 0.258 0.891 0.393
O: 0.500 0.322 0.322
O: 0.500 0.981 0.981
O: 0.742 0.393 0.891
O: 0.742 0.891 0.393

Peak list (10 most intense, 5 to 70 degrees two-theta, by intensity)
2θ/deg  I/Imax
31.3  100
46.8  38
32.6  35
32.7  35
43.6  26
57.5  18
65.2  18
57.3  18
54.8  17
42.7  15

=====

[3]
Starting from a cell relaxed with PBE+U, the XRD peak list of Ca2VIrO6 was calculated for λ = 1.5418 Å (Cu Kα).
Neutral-atom scattering factors, no anomalous dispersion.

Crystal structure
a = 5.358 Å, b = 5.538 Å, c = 9.323 Å
α = 90.00°, β = 124.71°, γ = 90.00°
Fractional positions:
Ca: 0.234 0.056 0.249
Ca: 0.234 0.444 0.749
Ca: 0.766 0.556 0.251
Ca: 0.766 0.944 0.751
V: 0.500 0.000 0.000
V: 0.500 0.500 0.500
Ir: 0.000 0.000 0.500
Ir: 0.000 0.500 0.000
O: 0.166 0.196 0.957
O: 0.166 0.304 0.457
O: 0.259 0.715 0.953
O: 0.259 0.785 0.453
O: 0.347 0.021 0.758
O: 0.347 0.479 0.258
O: 0.653 0.521 0.742
O: 0.653 0.979 0.242
O: 0.741 0.215 0.547
O: 0.741 0.285 0.047
O: 0.834 0.696 0.543
O: 0.834 0.804 0.043

Peak list (10 most intense, 5 to 70 degrees two-theta, by intensity)
2θ/deg  I/Imax
32.9  100
23.1  100
33.1  99
19.8  72
47.2  56
32.3  50
33.4  47
23.2  47
20.2  40
38.4  33

=====

[4]
Starting from a cell relaxed with PBE+U, the XRD peak list of Li7Mn5O12 was calculated for λ = 1.5418 Å (Cu Kα).
Neutral-atom scattering factors, no anomalous dispersion.

Crystal structure
a = 6.004 Å, b = 7.791 Å, c = 10.236 Å
α = 106.48°, β = 92.48°, γ = 103.92°
Fractional positions:
Li: 0.000 0.000 0.000
Li: 0.085 0.337 0.259
Li: 0.161 0.669 0.503
Li: 0.253 0.005 0.251
Li: 0.262 0.984 0.734
Li: 0.336 0.330 0.999
Li: 0.403 0.688 0.264
Li: 0.500 0.000 0.500
Li: 0.597 0.312 0.736
Li: 0.664 0.670 0.001
Li: 0.738 0.016 0.266
Li: 0.747 0.995 0.749
Li: 0.839 0.331 0.497
Li: 0.915 0.663 0.741
Mn: 0.000 0.000 0.500
Mn: 0.080 0.330 0.749
Mn: 0.162 0.671 0.005
Mn: 0.341 0.327 0.495
Mn: 0.414 0.672 0.751
Mn: 0.500 0.000 0.000
Mn: 0.586 0.328 0.249
Mn: 0.659 0.673 0.505
Mn: 0.838 0.329 0.995
Mn: 0.920 0.670 0.251
O: 0.020 0.192 0.881
O: 0.055 0.166 0.387
O: 0.123 0.498 0.110
O: 0.131 0.499 0.638
O: 0.174 0.843 0.383
O: 0.207 0.841 0.895
O: 0.284 0.158 0.614
O: 0.332 0.157 0.117
O: 0.339 0.518 0.879
O: 0.386 0.504 0.382
O: 0.446 0.829 0.111
O: 0.451 0.822 0.632
O: 0.549 0.178 0.368
O: 0.554 0.171 0.889
O: 0.614 0.496 0.618
O: 0.661 0.482 0.121
O: 0.668 0.843 0.883
O: 0.716 0.842 0.386
O: 0.793 0.159 0.105
O: 0.826 0.157 0.617
O: 0.869 0.501 0.362
O: 0.877 0.502 0.890
O: 0.945 0.834 0.613
O: 0.980 0.808 0.119

Peak list (10 most intense, 5 to 70 degrees two-theta, by intensity)
2θ/deg  I/Imax
18.3  100
40.9  34
44.2  28
44.4  28
34.1  16
62.0  16
36.4  13
36.2  12
47.0  8
61.5  8

=====

[5]
Starting from a cell relaxed with PBE+U, the XRD peak list of Na2LiMnPCO7 was calculated for λ = 1.5418 Å (Cu Kα).
Neutral-atom scattering factors, no anomalous dispersion.

Crystal structure
a = 6.823 Å, b = 8.859 Å, c = 10.222 Å
α = 91.04°, β = 90.01°, γ = 90.34°
Fractional positions:
Na: 0.000 0.000 0.000
Na: 0.000 0.002 0.502
Na: 0.250 0.174 0.255
Na: 0.499 0.002 0.502
Na: 0.500 0.000 0.999
Na: 0.500 0.513 0.751
Na: 0.502 0.515 0.253
Na: 0.998 0.514 0.252
Li: 0.241 0.178 0.752
Li: 0.754 0.350 0.999
Li: 0.758 0.348 0.504
Li: 0.979 0.526 0.759
Mn: 0.246 0.614 0.984
Mn: 0.247 0.615 0.491
Mn: 0.749 0.899 0.762
Mn: 0.750 0.894 0.265
P: 0.245 0.851 0.728
P: 0.250 0.846 0.230
P: 0.749 0.662 0.019
P: 0.753 0.660 0.526
C: 0.248 0.316 0.517
C: 0.249 0.309 0.004
C: 0.750 0.206 0.241
C: 0.759 0.213 0.744
O: 0.067 0.939 0.272
O: 0.068 0.952 0.768
O: 0.233 0.690 0.786
O: 0.243 0.409 0.617
O: 0.246 0.405 0.103
O: 0.248 0.832 0.576
O: 0.249 0.370 0.400
O: 0.249 0.827 0.077
O: 0.250 0.359 0.886
O: 0.251 0.166 0.026
O: 0.251 0.172 0.537
O: 0.251 0.687 0.290
O: 0.432 0.940 0.771
O: 0.434 0.940 0.271
O: 0.564 0.567 0.980
O: 0.568 0.565 0.490
O: 0.748 0.112 0.650
O: 0.748 0.346 0.207
O: 0.749 0.821 0.466
O: 0.750 0.822 0.960
O: 0.751 0.101 0.150
O: 0.751 0.169 0.364
O: 0.751 0.172 0.865
O: 0.754 0.683 0.171
O: 0.767 0.681 0.678
O: 0.775 0.355 0.713
O: 0.927 0.565 0.973
O: 0.930 0.565 0.478

Peak list (10 most intense, 5 to 70 degrees two-theta, by intensity)
2θ/deg  I/Imax
10.0  100
26.1  74
35.1  48
33.0  41
33.2  36
26.4  29
53.7  25
48.9  20
34.8  18
26.9  18

=====

[6]
Starting from a cell relaxed with PBE+U, the XRD peak list of Sr2Mn3Bi2O2 was calculated for λ = 1.5418 Å (Cu Kα).
Neutral-atom scattering factors, no anomalous dispersion.

Crystal structure
a = 11.044 Å, b = 11.044 Å, c = 11.044 Å
α = 157.14°, β = 157.14°, γ = 32.55°
Fractional positions:
Sr: 0.076 0.076 0.000
Sr: 0.924 0.924 0.000
Mn: 0.250 0.750 0.500
Mn: 0.500 0.500 0.000
Mn: 0.750 0.250 0.500
Bi: 0.341 0.341 0.000
Bi: 0.659 0.659 0.000
O: 0.000 0.500 0.500
O: 0.500 0.000 0.500

Peak list (10 most intense, 5 to 70 degrees two-theta, by intensity)
2θ/deg  I/Imax
23.9  100
36.1  73
28.8  55
41.2  54
33.5  53
55.9  41
29.3  39
48.2  33
38.7  27
68.2  18

=====

[7]
Starting from a cell relaxed with PBE+U, the XRD peak list of MgTi2Ni2O6 was calculated for λ = 1.5418 Å (Cu Kα).
Neutral-atom scattering factors, no anomalous dispersion.

Crystal structure
a = 5.222 Å, b = 5.231 Å, c = 5.799 Å
α = 63.34°, β = 63.27°, γ = 60.18°
Fractional positions:
Mg: 0.000 0.000 0.000
Ti: 0.192 0.195 0.423
Ti: 0.365 0.364 0.905
Ni: 0.550 0.553 0.348
Ni: 0.777 0.774 0.675
O: 0.160 0.385 0.673
O: 0.278 0.976 0.169
O: 0.384 0.781 0.670
O: 0.577 0.281 0.168
O: 0.773 0.168 0.668
O: 0.975 0.578 0.167

Peak list (10 most intense, 5 to 70 degrees two-theta, by intensity)
2θ/deg  I/Imax
36.1  100
34.3  79
50.7  50
34.3  40
62.6  28
31.1  26
20.5  22
39.0  20
50.6  18
61.3  15